No. 1
For Li2Ti2Pd3, the GGA-PBE geometry in Alexandria gives the theoretical PXRD pattern in this record (a wavelength of 1.5418 Å).

Peak list (6 most intense, 10 to 90 degrees two-theta, low angle first)
2theta	d_spacing	I_rel
21.54	4.126	50
28.85	3.094	44
30.89	2.895	63
40.09	2.249	100
42.87	2.109	79
44.34	2.043	81

Cell and atoms:
Lattice parameters (Å, degrees): 2.9146 24.7538 2.8835 90.00 90.00 90.00
Fractional positions:
1 Li 0.0000 0.0634 0.0000
2 Li 0.0000 0.9366 0.0000
3 Li 0.5000 0.4366 0.0000
4 Li 0.5000 0.5634 0.0000
5 Ti 0.0000 0.2037 0.0000
6 Ti 0.0000 0.7963 0.0000
7 Ti 0.5000 0.2963 0.0000
8 Ti 0.5000 0.7037 0.0000
9 Pd 0.0000 0.3681 0.5000
10 Pd 0.0000 0.5000 0.5000
11 Pd 0.0000 0.6319 0.5000
12 Pd 0.5000 0.0000 0.5000
13 Pd 0.5000 0.1319 0.5000
14 Pd 0.5000 0.8681 0.5000

No. 2
For Pr2U2Te7, the GGA-PBE geometry in Alexandria gives the theoretical PXRD pattern in this record (a wavelength of 1.5418 Å).

Peak list (6 most intense, 10 to 90 degrees two-theta, low angle first)
2theta	d_spacing	I_rel
27.86	3.202	46
31.49	2.841	100
32.03	2.795	52
36.03	2.492	50
38.08	2.363	30
41.34	2.184	31

Cell and atoms:
Lattice parameters (Å, degrees): 9.7109 9.7109 9.7109 154.00 67.22 119.24
Fractional positions:
1 Pr 0.2388 0.0000 0.2388
2 Pr 0.7612 0.0000 0.7612
3 U 0.2317 0.2317 0.0000
4 U 0.6814 0.1814 0.5000
5 Te 0.0589 0.6933 0.3656
6 Te 0.3277 0.6933 0.6344
7 Te 0.4046 0.5101 0.8944
8 Te 0.6157 0.5101 0.1056
9 Te 0.6182 0.2952 0.3230
10 Te 0.9177 0.9177 0.0000
11 Te 0.9722 0.2952 0.6770

No. 3
For ScSnPd, the GGA-PBE geometry in Alexandria gives the theoretical PXRD pattern in this record (a wavelength of 1.5418 Å).

Peak list (6 most intense, 10 to 90 degrees two-theta, low angle first)
2theta	d_spacing	I_rel
22.39	3.970	27
26.92	3.312	41
35.29	2.543	92
39.30	2.292	100
48.28	1.885	52
70.10	1.342	36

Cell and atoms:
Lattice parameters (Å, degrees): 4.5847 4.5847 3.3121 90.00 90.00 120.00
Fractional positions:
1 Sc 0.0000 0.0000 0.0000
2 Sn 0.6667 0.3333 0.5000
3 Pd 0.3333 0.6667 0.5000

No. 4
For Tb2Ge3Rh5, the GGA-PBE geometry in Alexandria gives the theoretical PXRD pattern in this record (a wavelength of 1.5418 Å).

Peak list (6 most intense, 10 to 90 degrees two-theta, low angle first)
2theta	d_spacing	I_rel
34.66	2.588	25
36.12	2.487	60
36.25	2.478	100
39.02	2.309	27
39.51	2.281	31
43.74	2.070	40

Cell and atoms:
Lattice parameters (Å, degrees): 12.4735 12.4735 6.6822 90.00 90.00 160.90
Fractional positions:
1 Tb 0.0189 0.9811 0.5000
2 Tb 0.3253 0.6747 0.5086
3 Tb 0.6747 0.3253 0.0086
4 Tb 0.9811 0.0189 0.0000
5 Ge 0.1118 0.8882 0.2500
6 Ge 0.2708 0.7292 0.0189
7 Ge 0.4520 0.5480 0.2880
8 Ge 0.5480 0.4520 0.7880
9 Ge 0.7292 0.2708 0.5189
10 Ge 0.8882 0.1118 0.7500
11 Rh 0.1003 0.8997 0.8499
12 Rh 0.2073 0.7927 0.7272
13 Rh 0.2094 0.7906 0.3150
14 Rh 0.3711 0.6289 0.0299
15 Rh 0.4429 0.5571 0.6619
16 Rh 0.5571 0.4429 0.1619
17 Rh 0.6289 0.3711 0.5299
18 Rh 0.7906 0.2094 0.8150
19 Rh 0.7927 0.2073 0.2272
20 Rh 0.8997 0.1003 0.3499

No. 5
For CaPdSe, the GGA-PBE geometry in Alexandria gives the theoretical PXRD pattern in this record (a wavelength of 1.5418 Å).

Peak list (6 most intense, 10 to 90 degrees two-theta, low angle first)
2theta	d_spacing	I_rel
23.02	3.863	48
33.06	2.709	100
41.14	2.194	77
47.66	1.908	41
53.76	1.705	24
64.25	1.450	39

Cell and atoms:
Lattice parameters (Å, degrees): 4.3887 4.3887 7.7255 90.00 90.00 120.00
Fractional positions:
1 Ca 0.0000 0.0000 0.0000
2 Ca 0.0000 0.0000 0.5000
3 Pd 0.3333 0.6667 0.2500
4 Pd 0.6667 0.3333 0.7500
5 Se 0.3333 0.6667 0.7500
6 Se 0.6667 0.3333 0.2500

No. 6
For LaTiNbBi2O9, the GGA-PBE geometry in Alexandria gives the theoretical PXRD pattern in this record (a wavelength of 1.5418 Å).

Peak list (6 most intense, 10 to 90 degrees two-theta, low angle first)
2theta	d_spacing	I_rel
13.79	6.421	17
26.69	3.340	24
28.69	3.112	100
32.46	2.758	39
48.43	1.879	18
55.61	1.653	16

Cell and atoms:
Lattice parameters (Å, degrees): 5.5464 25.6832 5.5166 90.00 90.00 90.00
Fractional positions:
1 La 0.0000 0.0000 0.0000
2 La 0.0000 0.5000 0.5000
3 La 0.5000 0.0000 0.5000
4 La 0.5000 0.5000 0.0000
5 Ti 0.0081 0.0829 0.5000
6 Ti 0.4919 0.5829 0.5000
7 Ti 0.5081 0.4171 0.5000
8 Ti 0.9919 0.9171 0.5000
9 Nb 0.0077 0.4146 0.0000
10 Nb 0.4923 0.9146 0.0000
11 Nb 0.5077 0.0854 0.0000
12 Nb 0.9923 0.5854 0.0000
13 Bi 0.0964 0.2022 0.0000
14 Bi 0.1203 0.3023 0.5000
15 Bi 0.3797 0.8023 0.5000
16 Bi 0.4036 0.7022 0.0000
17 Bi 0.5964 0.2978 0.0000
18 Bi 0.6203 0.1977 0.5000
19 Bi 0.8797 0.6977 0.5000
20 Bi 0.9036 0.7978 0.0000
21 O 0.0000 0.0000 0.5000
22 O 0.0000 0.5000 0.0000
23 O 0.0006 0.3412 0.0000
24 O 0.0202 0.8455 0.5000
25 O 0.1817 0.7513 0.2472
26 O 0.1817 0.7513 0.7528
27 O 0.2470 0.0718 0.2499
28 O 0.2470 0.0718 0.7501
29 O 0.2493 0.4292 0.2530
30 O 0.2493 0.4292 0.7470
31 O 0.2507 0.9292 0.2530
32 O 0.2507 0.9292 0.7470
33 O 0.2530 0.5718 0.2499
34 O 0.2530 0.5718 0.7501
35 O 0.3183 0.2513 0.2472
36 O 0.3183 0.2513 0.7528
37 O 0.4798 0.3455 0.5000
38 O 0.4994 0.8412 0.0000
39 O 0.5000 0.0000 0.0000
40 O 0.5000 0.5000 0.5000
41 O 0.5006 0.1588 0.0000
42 O 0.5202 0.6545 0.5000
43 O 0.6817 0.7487 0.2472
44 O 0.6817 0.7487 0.7528
45 O 0.7470 0.4282 0.2499
46 O 0.7470 0.4282 0.7501
47 O 0.7493 0.0708 0.2530
48 O 0.7493 0.0708 0.7470
49 O 0.7507 0.5708 0.2530
50 O 0.7507 0.5708 0.7470
51 O 0.7530 0.9282 0.2499
52 O 0.7530 0.9282 0.7501
53 O 0.8183 0.2487 0.2472
54 O 0.8183 0.2487 0.7528
55 O 0.9798 0.1545 0.5000
56 O 0.9994 0.6588 0.0000

No. 7
For La12Pr5Y2, the GGA-PBE geometry in Alexandria gives the theoretical PXRD pattern in this record (a wavelength of 1.5418 Å).

Peak list (6 most intense, 10 to 90 degrees two-theta, low angle first)
2theta	d_spacing	I_rel
29.77	3.001	50
30.19	2.961	66
30.27	2.953	49
31.31	2.856	36
31.94	2.802	100
33.39	2.683	18

Cell and atoms:
Lattice parameters (Å, degrees): 6.4631 9.7310 11.9031 68.38 83.23 85.30
Fractional positions:
1 La 0.0241 0.4481 0.3628
2 La 0.2368 0.9079 0.4705
3 La 0.2412 0.5616 0.0469
4 La 0.2457 0.1638 0.6112
5 La 0.2915 0.3269 0.8709
6 La 0.3542 0.9509 0.9041
7 La 0.6458 0.0491 0.0959
8 La 0.7085 0.6731 0.1291
9 La 0.7543 0.8362 0.3888
10 La 0.7588 0.4384 0.9531
11 La 0.7632 0.0921 0.5295
12 La 0.9759 0.5519 0.6372
13 Pr 0.0578 0.1903 0.1929
14 Pr 0.4813 0.7130 0.7231
15 Pr 0.5000 0.5000 0.5000
16 Pr 0.5187 0.2870 0.2769
17 Pr 0.9422 0.8097 0.8071
18 Y 0.2099 0.8083 0.2164
19 Y 0.7901 0.1917 0.7836

No. 8
For CuIr2I, the GGA-PBE geometry in Alexandria gives the theoretical PXRD pattern in this record (a wavelength of 1.5418 Å).

Peak list (6 most intense, 10 to 90 degrees two-theta, low angle first)
2theta	d_spacing	I_rel
27.93	3.195	13
39.91	2.259	100
57.71	1.597	17
65.31	1.429	5
72.47	1.304	34
86.08	1.130	11

Cell and atoms:
Lattice parameters (Å, degrees): 6.3897 6.3897 6.3897 90.00 90.00 90.00
Fractional positions:
1 Cu 0.0000 0.0000 0.0000
2 Cu 0.0000 0.5000 0.5000
3 Cu 0.5000 0.0000 0.5000
4 Cu 0.5000 0.5000 0.0000
5 Ir 0.2500 0.2500 0.2500
6 Ir 0.2500 0.2500 0.7500
7 Ir 0.2500 0.7500 0.2500
8 Ir 0.2500 0.7500 0.7500
9 Ir 0.7500 0.2500 0.2500
10 Ir 0.7500 0.2500 0.7500
11 Ir 0.7500 0.7500 0.2500
12 Ir 0.7500 0.7500 0.7500
13 I 0.0000 0.0000 0.5000
14 I 0.0000 0.5000 0.0000
15 I 0.5000 0.0000 0.0000
16 I 0.5000 0.5000 0.5000